# 1
The following is a theoretical powder diffractogram of Ca3Zn2Hg4. It was derived from a PBE-relaxed structure, using λ = 1.5418 Å (Cu Kα).
Kinematic intensities with the Lorentz-polarization factor, no thermal factor.

Peak list (10 most intense, 15° ≤ 2θ ≤ 90°, sorted by position)
two_theta, intensity
21.3, 39
24.4, 76
32.6, 100
37.1, 88
37.4, 45
44.8, 28
45.0, 30
45.2, 31
50.0, 23
64.0, 43

Cell and atoms:
abc: 6.0775 6.0775 9.1568
angles: 113.46 113.46 46.59
Positions (direct):
Ca 0.0000 0.0000 0.0000
Ca 0.3401 0.3401 0.3289
Ca 0.6599 0.6599 0.6711
Zn 0.3793 0.3793 0.7081
Zn 0.6207 0.6207 0.2919
Hg 0.0694 0.0694 0.3924
Hg 0.2849 0.2849 0.9350
Hg 0.7151 0.7151 0.0650
Hg 0.9306 0.9306 0.6076

***

# 2
The following is a theoretical powder diffractogram of LiCu2S. It was derived from a PBE-relaxed structure, using λ = 1.5418 Å (Cu Kα).
Kinematic intensities with the Lorentz-polarization factor, no thermal factor.

Peak list (10 most intense, 15° ≤ 2θ ≤ 90°, sorted by position)
two_theta, intensity
20.8, 51
25.3, 10
36.9, 100
42.3, 25
48.0, 45
55.5, 42
65.9, 16
86.3, 14
87.4, 11
89.8, 10

Cell and atoms:
abc: 3.5944 3.5944 17.0845
angles: 90.00 90.00 90.00
Positions (direct):
Li 0.0000 0.0000 0.0000
Li 0.0000 0.5000 0.2500
Li 0.5000 0.0000 0.7500
Li 0.5000 0.5000 0.5000
Cu 0.2335 0.2500 0.6250
Cu 0.2500 0.7335 0.8750
Cu 0.2500 0.7665 0.3750
Cu 0.2665 0.2500 0.1250
Cu 0.7335 0.7500 0.1250
Cu 0.7500 0.2335 0.3750
Cu 0.7500 0.2665 0.8750
Cu 0.7665 0.7500 0.6250
S 0.0000 0.0000 0.5000
S 0.0000 0.5000 0.7500
S 0.5000 0.0000 0.2500
S 0.5000 0.5000 0.0000

***

# 3
The following is a theoretical powder diffractogram of V12Ge5P2. It was derived from a PBE-relaxed structure, using λ = 1.5418 Å (Cu Kα).
Kinematic intensities with the Lorentz-polarization factor, no thermal factor.

Peak list (10 most intense, 15° ≤ 2θ ≤ 90°, sorted by position)
two_theta, intensity
25.1, 49
29.0, 100
37.8, 64
39.6, 36
39.9, 74
41.3, 39
42.8, 76
47.7, 48
51.9, 43
57.8, 34

Cell and atoms:
abc: 7.1864 7.1864 7.1614
angles: 94.96 94.96 52.72
Positions (direct):
V 0.0196 0.0196 0.1744
V 0.0519 0.6089 0.8891
V 0.1457 0.5970 0.4553
V 0.3911 0.9481 0.1109
V 0.4030 0.8543 0.5447
V 0.4679 0.4679 0.7015
V 0.5321 0.5321 0.2985
V 0.5970 0.1457 0.4553
V 0.6089 0.0519 0.8891
V 0.8543 0.4030 0.5447
V 0.9481 0.3911 0.1109
V 0.9804 0.9804 0.8256
Ge 0.0000 0.0000 0.5000
Ge 0.2632 0.2632 0.6550
Ge 0.3280 0.3280 0.1682
Ge 0.6720 0.6720 0.8318
Ge 0.7368 0.7368 0.3450
P 0.3182 0.6818 0.0000
P 0.6818 0.3182 0.0000

***

# 4
The following is a theoretical powder diffractogram of NaZnIn2S4. It was derived from a PBE-relaxed structure, using λ = 1.5418 Å (Cu Kα).
Kinematic intensities with the Lorentz-polarization factor, no thermal factor.

Peak list (10 most intense, 15° ≤ 2θ ≤ 90°, sorted by position)
two_theta, intensity
17.1, 20
25.7, 84
27.5, 100
28.8, 24
38.6, 27
43.6, 19
45.5, 63
48.0, 42
51.2, 24
56.7, 19

Cell and atoms:
abc: 6.9847 6.6541 6.2473
angles: 65.47 60.07 54.46
Positions (direct):
Na 0.0000 0.0000 0.0000
Zn 0.5181 0.5181 0.4819
In 0.2565 0.2565 0.2435
In 0.7565 0.7565 0.7435
S 0.1833 0.6260 0.3740
S 0.4230 0.8818 0.5770
S 0.6260 0.1833 0.8167
S 0.8818 0.4230 0.1182

***

# 5
The following is a theoretical powder diffractogram of HfH2I4. It was derived from a PBE-relaxed structure, using λ = 1.5418 Å (Cu Kα).
Kinematic intensities with the Lorentz-polarization factor, no thermal factor.

Peak list (10 most intense, 15° ≤ 2θ ≤ 90°, sorted by position)
two_theta, intensity
24.4, 35
26.5, 85
27.1, 85
27.7, 100
34.4, 36
34.5, 38
34.9, 37
40.8, 33
42.0, 33
45.3, 36

Cell and atoms:
abc: 4.0589 7.7631 8.3510
angles: 114.75 103.50 91.71
Positions (direct):
Hf 0.0000 0.0000 0.0000
H 0.4010 0.1934 0.7718
H 0.5990 0.8066 0.2282
I 0.1000 0.8059 0.2295
I 0.3748 0.7382 0.7697
I 0.6252 0.2618 0.2303
I 0.9000 0.1941 0.7705

***

# 6
The following is a theoretical powder diffractogram of NaLaTe2Pd2. It was derived from a PBE-relaxed structure, using λ = 1.5418 Å (Cu Kα).
Kinematic intensities with the Lorentz-polarization factor, no thermal factor.

Peak list (10 most intense, 15° ≤ 2θ ≤ 90°, sorted by position)
two_theta, intensity
21.4, 25
24.7, 12
31.1, 100
39.0, 68
43.6, 15
44.9, 20
50.7, 25
59.9, 35
65.8, 22
86.9, 12

Cell and atoms:
abc: 4.6145 4.6145 8.3074
angles: 90.00 90.00 120.00
Positions (direct):
Na 0.0000 0.0000 0.0000
La 0.0000 0.0000 0.5000
Te 0.3333 0.6667 0.7508
Te 0.6667 0.3333 0.2492
Pd 0.3333 0.6667 0.2696
Pd 0.6667 0.3333 0.7304

***

# 7
The following is a theoretical powder diffractogram of CaCuPbCl5. It was derived from a PBE-relaxed structure, using λ = 1.5418 Å (Cu Kα).
Kinematic intensities with the Lorentz-polarization factor, no thermal factor.

Peak list (10 most intense, 15° ≤ 2θ ≤ 90°, sorted by position)
two_theta, intensity
18.5, 51
19.8, 65
21.4, 100
22.1, 85
25.4, 47
29.0, 80
31.0, 52
34.9, 47
37.5, 69
40.9, 46

Cell and atoms:
abc: 7.0473 7.0473 9.3327
angles: 99.21 99.21 107.14
Positions (direct):
Ca 0.0000 0.0000 0.0000
Ca 0.0000 0.0000 0.5000
Cu 0.3293 0.6707 0.7500
Cu 0.6707 0.3293 0.2500
Pb 0.3832 0.6168 0.2500
Pb 0.6168 0.3832 0.7500
Cl 0.0350 0.6554 0.8491
Cl 0.1198 0.8802 0.2500
Cl 0.2559 0.4173 0.5405
Cl 0.3446 0.9650 0.6509
Cl 0.4173 0.2559 0.0405
Cl 0.5827 0.7441 0.9595
Cl 0.6554 0.0350 0.3491
Cl 0.7441 0.5827 0.4595
Cl 0.8802 0.1198 0.7500
Cl 0.9650 0.3446 0.1509

***

# 8
The following is a theoretical powder diffractogram of AcNdSm4Ho2. It was derived from a PBE-relaxed structure, using λ = 1.5418 Å (Cu Kα).
Kinematic intensities with the Lorentz-polarization factor, no thermal factor.

Peak list (10 most intense, 15° ≤ 2θ ≤ 90°, sorted by position)
two_theta, intensity
29.9, 100
34.6, 17
34.8, 34
49.8, 24
50.0, 12
59.1, 15
59.3, 29
62.2, 13
81.0, 12
81.2, 6

Cell and atoms:
abc: 11.5619 5.1611 10.3792
angles: 90.00 116.72 90.00
Positions (direct):
Ac 0.0000 0.0000 0.0000
Ac 0.5000 0.5000 0.0000
Nd 0.0000 0.0000 0.5000
Nd 0.5000 0.5000 0.5000
Sm 0.2481 0.0000 0.8706
Sm 0.2488 0.5000 0.6220
Sm 0.2512 0.0000 0.3780
Sm 0.2519 0.5000 0.1294
Sm 0.7481 0.5000 0.8706
Sm 0.7488 0.0000 0.6220
Sm 0.7512 0.5000 0.3780
Sm 0.7519 0.0000 0.1294
Ho 0.0008 0.5000 0.7450
Ho 0.4992 0.0000 0.2550
Ho 0.5008 0.0000 0.7450
Ho 0.9992 0.5000 0.2550

***

# 9
The following is a theoretical powder diffractogram of RbPmCrCl6. It was derived from a PBE-relaxed structure, using λ = 1.5418 Å (Cu Kα).
Kinematic intensities with the Lorentz-polarization factor, no thermal factor.

Peak list (10 most intense, 15° ≤ 2θ ≤ 90°, sorted by position)
two_theta, intensity
21.3, 100
23.1, 56
28.3, 40
32.6, 32
33.5, 23
38.5, 25
39.0, 30
39.5, 22
43.4, 23
48.0, 22

Cell and atoms:
abc: 9.6278 9.6278 9.6278
angles: 121.91 117.97 90.14
Positions (direct):
Rb 0.2724 0.0224 0.2500
Rb 0.7276 0.9776 0.7500
Pm 0.0000 0.5000 0.5000
Pm 0.5000 0.5000 0.0000
Cr 0.0000 0.0000 0.5000
Cr 0.0000 0.5000 0.0000
Cl 0.0351 0.7851 0.2500
Cl 0.0482 0.3932 0.2052
Cl 0.0482 0.8430 0.6550
Cl 0.3120 0.1570 0.7052
Cl 0.3120 0.6068 0.1550
Cl 0.3387 0.5887 0.7500
Cl 0.6613 0.4113 0.2500
Cl 0.6880 0.3932 0.8450
Cl 0.6880 0.8430 0.2948
Cl 0.9518 0.1570 0.3450
Cl 0.9518 0.6068 0.7948
Cl 0.9649 0.2149 0.7500

***

# 10
The following is a theoretical powder diffractogram of CeRe2C2. It was derived from a PBE-relaxed structure, using λ = 1.5418 Å (Cu Kα).
Kinematic intensities with the Lorentz-polarization factor, no thermal factor.

Peak list (10 most intense, 15° ≤ 2θ ≤ 90°, sorted by position)
two_theta, intensity
18.9, 16
32.7, 92
33.2, 100
40.4, 31
43.8, 46
50.7, 33
54.3, 14
59.1, 24
61.1, 15
69.0, 14

Cell and atoms:
abc: 6.5322 5.8469 5.5994
angles: 69.56 57.01 53.44
Positions (direct):
Ce 0.1250 0.1250 0.1250
Ce 0.8750 0.8750 0.8750
Re 0.2329 0.2329 0.5171
Re 0.4829 0.4829 0.7671
Re 0.5171 0.5171 0.2329
Re 0.7671 0.7671 0.4829
C 0.1866 0.5634 0.1866
C 0.4366 0.8134 0.4366
C 0.5634 0.1866 0.5634
C 0.8134 0.4366 0.8134

***

# 11
The following is a theoretical powder diffractogram of Ca2OsN. It was derived from a PBE-relaxed structure, using λ = 1.5418 Å (Cu Kα).
Kinematic intensities with the Lorentz-polarization factor, no thermal factor.

Peak list (10 most intense, 15° ≤ 2θ ≤ 90°, sorted by position)
two_theta, intensity
17.9, 100
25.1, 16
25.4, 23
31.0, 79
36.3, 29
40.5, 29
40.8, 36
49.8, 16
52.1, 16
56.7, 21

Cell and atoms:
abc: 9.9004 9.9004 3.7976
angles: 90.00 90.00 90.00
Positions (direct):
Ca 0.0598 0.7500 0.1250
Ca 0.2500 0.0598 0.8750
Ca 0.2500 0.4402 0.3750
Ca 0.4402 0.7500 0.6250
Ca 0.5598 0.2500 0.6250
Ca 0.7500 0.5598 0.3750
Ca 0.7500 0.9402 0.8750
Ca 0.9402 0.2500 0.1250
Os 0.0000 0.0000 0.5000
Os 0.0000 0.5000 0.7500
Os 0.5000 0.0000 0.2500
Os 0.5000 0.5000 0.0000
N 0.0000 0.0000 0.0000
N 0.0000 0.5000 0.2500
N 0.5000 0.0000 0.7500
N 0.5000 0.5000 0.5000

***

# 12
The following is a theoretical powder diffractogram of LiMoP2. It was derived from a PBE-relaxed structure, using λ = 1.5418 Å (Cu Kα).
Kinematic intensities with the Lorentz-polarization factor, no thermal factor.

Peak list (10 most intense, 15° ≤ 2θ ≤ 90°, sorted by position)
two_theta, intensity
32.8, 15
33.6, 86
38.6, 100
43.8, 53
46.8, 19
53.4, 32
58.1, 31
59.6, 22
71.9, 15
80.0, 21

Cell and atoms:
abc: 3.1763 3.1763 21.9362
angles: 90.00 90.00 120.00
Positions (direct):
Li 0.0000 0.0000 0.0000
Li 0.3333 0.6667 0.6667
Li 0.6667 0.3333 0.3333
Mo 0.0000 0.0000 0.8374
Mo 0.3333 0.6667 0.5041
Mo 0.6667 0.3333 0.1707
P 0.0000 0.0000 0.2451
P 0.0000 0.0000 0.4288
P 0.3333 0.6667 0.0954
P 0.3333 0.6667 0.9118
P 0.6667 0.3333 0.5784
P 0.6667 0.3333 0.7621